Record 1
Starting from DFT lattice parameters and positions (PBE), the XRD peak list of MgSn3Se4 was simulated for CuKα.
Lines closer than 0.1° are merged.

The 10 most intense peaks (5° ≤ 2θ ≤ 70°), by angle:
| Position (°2θ) | I/Imax | (hkl) |
| --- | --- | --- |
| 6.41 | 8 | 0 0 3 |
| 26.82 | 6 | 0 1 5 |
| 30.08 | 100 | 0 1 8 |
| 37.60 | 6 | 1 0 13 |
| 42.96 | 34 | 1 0 16 |
| 43.17 | 39 | 1 1 0 |
| 53.15 | 5 | 0 0 24 |
| 53.51 | 20 | 2 0 8 |
| 62.53 | 11 | 0 2 16 |
| 64.99 | 5 | 1 1 21 |

Structural model:
```
data_MgSn3Se4
_chemical_formula_sum 'Mg3 Sn9 Se12'
_symmetry_space_group_name_H-M 'R -3 m'
_symmetry_Int_Tables_number 166
_symmetry_space_group_name_Hall '-R 3 2"'
_cell_length_a 4.1915
_cell_length_b 4.1915
_cell_length_c 41.3540
_cell_angle_alpha 90.00
_cell_angle_beta 90.00
_cell_angle_gamma 120.00
loop_
_atom_site_label
_atom_site_fract_x
_atom_site_fract_y
_atom_site_fract_z
_atom_site_occupancy
Mg1 0.0000 0.0000 0.0000 1
Sn1 0.0000 0.0000 0.2530 1
Sn2 0.0000 0.0000 0.5000 1
Se1 0.0000 0.0000 0.1233 1
Se2 0.0000 0.0000 0.3688 1
```


Record 2
Starting from DFT lattice parameters and positions (PBE), the XRD peak list of CsIn2I4 was simulated for CuKα.
Lines closer than 0.1° are merged.

The 10 most intense peaks (5° ≤ 2θ ≤ 70°), by angle:
| Position (°2θ) | I/Imax | (hkl) |
| --- | --- | --- |
| 11.46 | 61 | 1 -1 0 |
| 15.28 | 77 | 1 1 -1 |
| 21.68 | 94 | 2 0 0 |
| 24.85 | 59 | -1 1 2 |
| 25.38 | 85 | -1 2 1 |
| 29.23 | 61 | 3 0 -1 |
| 29.39 | 100 | 1 -3 2 |
| 32.76 | 63 | 0 3 -3 |
| 35.96 | 87 | 1 1 -4 |
| 40.30 | 70 | 3 -3 2 |

Structural model:
```
data_CsIn2I4
_chemical_formula_sum 'Cs2 In4 I8'
_symmetry_space_group_name_H-M 'P 1'
_symmetry_Int_Tables_number 1
_symmetry_space_group_name_Hall 'P 1'
_cell_length_a 9.6637
_cell_length_b 9.6729
_cell_length_c 10.1303
_cell_angle_alpha 112.06
_cell_angle_beta 108.16
_cell_angle_gamma 106.24
loop_
_atom_site_label
_atom_site_fract_x
_atom_site_fract_y
_atom_site_fract_z
_atom_site_occupancy
Cs1 0.0000 0.0000 0.0000 1
Cs2 0.4386 0.7319 0.1696 1
In1 0.1429 0.3697 0.5106 1
In2 0.2389 0.9016 0.6060 1
In3 0.7040 0.3668 0.6056 1
In4 0.7216 0.3853 0.1061 1
I1 0.0880 0.5041 0.2442 1
I2 0.1268 0.6601 0.7868 1
I3 0.3126 0.0747 0.3875 1
I4 0.3634 0.2503 0.9688 1
I5 0.6784 0.1233 0.8007 1
I6 0.7185 0.6056 0.9684 1
I7 0.7416 0.1574 0.2447 1
I8 0.7681 0.6406 0.4085 1
```


Record 3
Starting from DFT lattice parameters and positions (PBE), the XRD peak list of La6Co2Pd was simulated for CuKα.
Lines closer than 0.1° are merged.

The 10 most intense peaks (5° ≤ 2θ ≤ 70°), by angle:
| Position (°2θ) | I/Imax | (hkl) |
| --- | --- | --- |
| 13.34 | 23 | 0 0 1 |
| 26.86 | 12 | 0 0 2 |
| 28.37 | 100 | 2 -1 1 |
| 36.97 | 40 | 2 -1 2 |
| 43.89 | 31 | 3 0 0 |
| 48.39 | 25 | 1 1 3 |
| 52.21 | 10 | 3 0 2 |
| 53.09 | 16 | 2 2 1 |
| 58.69 | 10 | 2 2 2 |
| 67.38 | 9 | 4 -2 3 |

Structural model:
```
data_La6Co2Pd
_chemical_formula_sum 'La6 Co2 Pd1'
_symmetry_space_group_name_H-M 'P -3 1 m'
_symmetry_Int_Tables_number 162
_symmetry_space_group_name_Hall '-P 3 2'
_cell_length_a 7.1455
_cell_length_b 7.1455
_cell_length_c 6.6376
_cell_angle_alpha 90.00
_cell_angle_beta 90.00
_cell_angle_gamma 120.00
loop_
_atom_site_label
_atom_site_fract_x
_atom_site_fract_y
_atom_site_fract_z
_atom_site_occupancy
La1 0.0000 0.3521 0.2291 1
Co1 0.3333 0.6667 0.0000 1
Pd1 0.0000 0.0000 0.0000 1
```